No. 1
The following is a theoretical X-ray diffraction stick pattern of Zn2Pd7. It was derived from the GGA-PBE geometry in OQMD, using Cu Kα X-rays.

abc: 2.791 2.791 32.471
angles: 90.00 90.00 120.00
Fractional coordinates of all 9 atoms:
Zn  0.333  0.667  0.224
Zn  0.667  0.333  0.776
Pd  0.000  0.000  0.288
Pd  0.000  0.000  0.500
Pd  0.000  0.000  0.712
Pd  0.333  0.667  0.430
Pd  0.333  0.667  0.640
Pd  0.667  0.333  0.360
Pd  0.667  0.333  0.570

Top 10 peaks for 10 to 90 degrees two-theta, sorted by position:
38.86°, rel. 88
39.79°, rel. 100
41.73°, rel. 17
45.15°, rel. 53
46.86°, rel. 51
67.09°, rel. 54
80.30°, rel. 29
80.91°, rel. 12
81.55°, rel. 13
82.19°, rel. 14

=====

No. 2
The following is a theoretical X-ray diffraction stick pattern of LaNdCd2Pb2. It was derived from the GGA-PBE geometry in OQMD, using Cu Kα X-rays.

abc: 4.922 4.922 16.691
angles: 90.00 90.00 120.00
Fractional coordinates of all 12 atoms:
La  0.000  0.000  0.000
La  0.000  0.000  0.500
Nd  0.000  0.000  0.250
Nd  0.000  0.000  0.750
Cd  0.333  0.667  0.158
Cd  0.333  0.667  0.342
Cd  0.667  0.333  0.658
Cd  0.667  0.333  0.842
Pb  0.333  0.667  0.606
Pb  0.333  0.667  0.894
Pb  0.667  0.333  0.106
Pb  0.667  0.333  0.394

Top 10 peaks for 10 to 90 degrees two-theta, sorted by position:
26.34°, rel. 39
29.97°, rel. 100
36.51°, rel. 86
43.49°, rel. 29
47.93°, rel. 27
57.99°, rel. 26
61.71°, rel. 26
65.71°, rel. 15
70.54°, rel. 14
85.33°, rel. 11

=====

No. 3
The following is a theoretical X-ray diffraction stick pattern of BaHoZnSe3. It was derived from the GGA-PBE geometry in OQMD, using Cu Kα X-rays.

abc: 7.334 7.334 10.678
angles: 90.00 90.00 145.07
Fractional coordinates of all 12 atoms:
Ba  0.247  0.753  0.750
Ba  0.753  0.247  0.250
Ho  0.000  0.000  0.000
Ho  0.000  0.000  0.500
Zn  0.481  0.519  0.250
Zn  0.519  0.481  0.750
Se  0.072  0.928  0.250
Se  0.369  0.631  0.064
Se  0.369  0.631  0.436
Se  0.631  0.369  0.564
Se  0.631  0.369  0.936
Se  0.928  0.072  0.750

Top 10 peaks for 10 to 90 degrees two-theta, sorted by position:
12.65°, rel. 44
20.93°, rel. 41
27.87°, rel. 40
29.12°, rel. 100
32.61°, rel. 93
32.99°, rel. 38
33.57°, rel. 44
41.00°, rel. 48
41.83°, rel. 52
51.43°, rel. 32